(1)
Starting from a crystal structure in Alexandria, relaxed with GGA-PBE, the X-ray powder pattern of BaPrSn2S6 was calculated for Cu Kα X-rays.

Top 10 peaks for 2θ = 10–90°, in order of falling intensity:
Position (°2θ), d/Å, I/Imax
26.64, 3.346, 100
32.03, 2.794, 53
44.65, 2.029, 48
25.71, 3.465, 42
26.44, 3.370, 41
31.86, 2.809, 35
46.04, 1.971, 33
46.64, 1.947, 30
44.49, 2.036, 29
31.58, 2.833, 28

Structure:
Lattice parameters (Å, degrees): 4.0589 20.3230 12.0975 90.00 90.00 90.00
Space group Pmc2_1 (No. 26)
Symmetry-distinct sites (fractional):
Ba (0.0000, 0.0787, 0.0000) (multiplicity 2)
Ba (0.0000, 0.3644, 0.5619) (multiplicity 2)
Pr (0.0000, 0.1218, 0.6350) (multiplicity 2)
Pr (0.0000, 0.4196, 0.9397) (multiplicity 2)
Sn (0.0000, 0.2519, 0.2219) (multiplicity 2)
Sn (0.5000, 0.0899, 0.3249) (multiplicity 2)
Sn (0.5000, 0.2502, 0.8140) (multiplicity 2)
Sn (0.5000, 0.4239, 0.2645) (multiplicity 2)
S (0.0000, 0.0141, 0.2601) (multiplicity 2)
S (0.0000, 0.1648, 0.3968) (multiplicity 2)
S (0.0000, 0.2605, 0.9353) (multiplicity 2)
S (0.0000, 0.4928, 0.2195) (multiplicity 2)
S (0.5000, 0.0427, 0.5225) (multiplicity 2)
S (0.5000, 0.1233, 0.8130) (multiplicity 2)
S (0.5000, 0.1591, 0.1516) (multiplicity 2)
S (0.5000, 0.2317, 0.6120) (multiplicity 2)
S (0.5000, 0.3180, 0.3637) (multiplicity 2)
S (0.5000, 0.3630, 0.0837) (multiplicity 2)
S (0.5000, 0.3735, 0.7771) (multiplicity 2)
S (0.5000, 0.4761, 0.4607) (multiplicity 2)

=====

(2)
Starting from a crystal structure in Alexandria, relaxed with GGA-PBE, the X-ray powder pattern of AcSm4Y5 was calculated for Cu Kα X-rays.

Top 10 peaks for 2θ = 10–90°, in order of falling intensity:
Position (°2θ), d/Å, I/Imax
30.11, 2.968, 100
34.72, 2.584, 35
59.41, 1.556, 29
50.32, 1.813, 23
35.26, 2.545, 16
49.92, 1.827, 12
60.12, 1.539, 12
62.59, 1.484, 12
81.83, 1.177, 10
17.42, 5.091, 7

Structure:
Lattice parameters (Å, degrees): 3.6538 3.6538 25.4535 90.00 90.00 90.00
Space group P4/mmm (No. 123)
Symmetry-distinct sites (fractional):
Ac (0.0000, 0.0000, 0.0000) (multiplicity 1)
Sm (0.0000, 0.0000, 0.2051) (multiplicity 2)
Sm (0.0000, 0.0000, 0.4017) (multiplicity 2)
Y (0.5000, 0.5000, 0.1076) (multiplicity 2)
Y (0.5000, 0.5000, 0.3037) (multiplicity 2)
Y (0.5000, 0.5000, 0.5000) (multiplicity 1)

=====

(3)
Starting from a crystal structure in Alexandria, relaxed with GGA-PBE, the X-ray powder pattern of Hf7Ti2In3 was calculated for Cu Kα X-rays.

Top 10 peaks for 2θ = 10–90°, in order of falling intensity:
Position (°2θ), d/Å, I/Imax
36.19, 2.482, 100
35.04, 2.561, 53
36.02, 2.493, 44
37.46, 2.401, 38
37.95, 2.371, 25
32.45, 2.759, 24
36.53, 2.459, 23
16.06, 5.517, 22
60.55, 1.529, 22
43.30, 2.089, 22

Structure:
Lattice parameters (Å, degrees): 5.1397 3.0582 16.5824 90.00 93.45 90.00
Space group P2/m (No. 10)
Symmetry-distinct sites (fractional):
Hf (0.0000, 0.0000, 0.0000) (multiplicity 1)
Hf (0.1928, 0.5000, 0.1869) (multiplicity 2)
Hf (0.2574, 0.5000, 0.5430) (multiplicity 2)
Hf (0.3115, 0.0000, 0.8525) (multiplicity 2)
Ti (0.2952, 0.5000, 0.7081) (multiplicity 2)
In (0.2225, 0.0000, 0.3701) (multiplicity 2)
In (0.5000, 0.5000, 0.0000) (multiplicity 1)

=====

(4)
Starting from a crystal structure in Alexandria, relaxed with GGA-PBE, the X-ray powder pattern of Ba2Mg12Cd3Hg was calculated for Cu Kα X-rays.

Top 10 peaks for 2θ = 10–90°, in order of falling intensity:
Position (°2θ), d/Å, I/Imax
24.97, 3.566, 100
16.63, 5.330, 44
35.42, 2.534, 39
33.70, 2.660, 37
27.79, 3.210, 33
34.63, 2.590, 27
42.22, 2.140, 27
48.09, 1.892, 26
19.39, 4.578, 23
28.94, 3.086, 23

Structure:
Lattice parameters (Å, degrees): 7.5683 7.5683 31.9819 90.00 90.00 120.00
Space group R-3m (No. 166, hexagonal axes)
Symmetry-distinct sites (fractional):
Ba (0.0000, 0.0000, 0.1481) (multiplicity 6)
Mg (0.0497, 0.5248, 0.0968) (multiplicity 18)
Mg (0.0704, 0.5352, 0.6203) (multiplicity 18)
Cd (0.0000, 0.5000, 0.0000) (multiplicity 9)
Hg (0.0000, 0.0000, 0.5000) (multiplicity 3)

=====

(5)
Starting from a crystal structure in Alexandria, relaxed with GGA-PBE, the X-ray powder pattern of ReBiO2F was calculated for Cu Kα X-rays.

Top 10 peaks for 2θ = 10–90°, in order of falling intensity:
Position (°2θ), d/Å, I/Imax
27.68, 3.223, 100
28.46, 3.136, 34
33.74, 2.657, 31
44.71, 2.027, 29
56.72, 1.623, 29
49.92, 1.827, 21
57.16, 1.612, 19
48.46, 1.879, 16
72.12, 1.310, 14
87.88, 1.111, 9

Structure:
Lattice parameters (Å, degrees): 3.7571 3.7571 6.2715 90.00 90.00 90.00
Space group P4/mmm (No. 123)
Symmetry-distinct sites (fractional):
Re (0.0000, 0.0000, 0.0000) (multiplicity 1)
Bi (0.5000, 0.5000, 0.5000) (multiplicity 1)
O (0.0000, 0.5000, 0.0000) (multiplicity 2)
F (0.0000, 0.0000, 0.5000) (multiplicity 1)

=====

(6)
Starting from a crystal structure in Alexandria, relaxed with GGA-PBE, the X-ray powder pattern of YTmCdRu was calculated for Cu Kα X-rays.

Top 10 peaks for 2θ = 10–90°, in order of falling intensity:
Position (°2θ), d/Å, I/Imax
35.11, 2.556, 100
36.84, 2.440, 48
65.25, 1.430, 32
53.09, 1.725, 17
11.63, 7.612, 14
61.83, 1.501, 14
74.20, 1.278, 8
89.92, 1.091, 8
47.79, 1.903, 8
28.40, 3.142, 7

Structure:
Lattice parameters (Å, degrees): 3.4501 3.4501 7.6122 90.00 90.00 90.00
Space group P4mm (No. 99)
Symmetry-distinct sites (fractional):
Y (0.0000, 0.0000, 0.0000) (multiplicity 1)
Tm (0.0000, 0.0000, 0.5684) (multiplicity 1)
Cd (0.5000, 0.5000, 0.2892) (multiplicity 1)
Ru (0.5000, 0.5000, 0.7770) (multiplicity 1)

=====

(7)
Starting from a crystal structure in Alexandria, relaxed with GGA-PBE, the X-ray powder pattern of SmPa6 was calculated for Cu Kα X-rays.

Top 10 peaks for 2θ = 10–90°, in order of falling intensity:
Position (°2θ), d/Å, I/Imax
28.55, 3.127, 100
44.25, 2.047, 62
40.81, 2.211, 52
16.37, 5.416, 46
23.23, 3.830, 42
47.48, 1.915, 40
69.41, 1.354, 26
83.77, 1.155, 21
76.70, 1.243, 19
66.91, 1.398, 19

Structure:
Lattice parameters (Å, degrees): 7.6596 7.6596 7.6596 90.00 90.00 90.00
Space group Im-3m (No. 229)
Symmetry-distinct sites (fractional):
Sm (0.0000, 0.0000, 0.0000) (multiplicity 2)
Pa (0.0000, 0.2500, 0.5000) (multiplicity 12)

=====

(8)
Starting from a crystal structure in Alexandria, relaxed with GGA-PBE, the X-ray powder pattern of YHoCI was calculated for Cu Kα X-rays.

Top 10 peaks for 2θ = 10–90°, in order of falling intensity:
Position (°2θ), d/Å, I/Imax
34.12, 2.628, 100
31.84, 2.810, 99
48.39, 1.881, 52
28.55, 3.126, 47
62.03, 1.496, 45
36.39, 2.469, 35
27.67, 3.223, 30
39.64, 2.274, 21
60.54, 1.529, 19
59.10, 1.563, 17

Structure:
Lattice parameters (Å, degrees): 3.7620 3.7620 22.2217 90.00 90.00 120.00
Space group R3m (No. 160, hexagonal axes)
Symmetry-distinct sites (fractional):
Y (0.0000, 0.0000, 0.0000) (multiplicity 3)
Ho (0.0000, 0.0000, 0.2201) (multiplicity 3)
C (0.0000, 0.0000, 0.6067) (multiplicity 3)
I (0.0000, 0.0000, 0.7773) (multiplicity 3)

=====

(9)
Starting from a crystal structure in Alexandria, relaxed with GGA-PBE, the X-ray powder pattern of BaNaCa2Pd was calculated for Cu Kα X-rays.

Top 10 peaks for 2θ = 10–90°, in order of falling intensity:
Position (°2θ), d/Å, I/Imax
21.64, 4.107, 100
31.67, 2.826, 50
38.68, 2.328, 44
44.10, 2.053, 39
22.25, 3.996, 32
29.89, 2.989, 29
26.84, 3.322, 23
55.30, 1.661, 20
45.39, 1.998, 18
37.58, 2.394, 17

Structure:
Lattice parameters (Å, degrees): 5.6511 5.6511 5.9787 90.00 90.00 90.00
Space group P4/mmm (No. 123)
Symmetry-distinct sites (fractional):
Ba (0.0000, 0.0000, 0.0000) (multiplicity 1)
Na (0.5000, 0.5000, 0.0000) (multiplicity 1)
Ca (0.0000, 0.5000, 0.5000) (multiplicity 2)
Pd (0.5000, 0.5000, 0.5000) (multiplicity 1)

=====

(10)
Starting from a crystal structure in Alexandria, relaxed with GGA-PBE, the X-ray powder pattern of Ba6HgPb2N was calculated for Cu Kα X-rays.

Top 10 peaks for 2θ = 10–90°, in order of falling intensity:
Position (°2θ), d/Å, I/Imax
30.29, 2.951, 100
26.39, 3.377, 92
29.36, 3.042, 88
24.81, 3.588, 62
42.66, 2.119, 55
33.40, 2.683, 51
57.89, 1.593, 38
20.96, 4.239, 37
33.00, 2.714, 32
56.35, 1.633, 31

Structure:
Lattice parameters (Å, degrees): 8.2305 11.8172 9.0323 90.00 90.00 90.00
Space group Pmmn (No. 59, origin choice 2)
Symmetry-distinct sites (fractional):
Ba (0.0029, 0.2500, 0.0963) (multiplicity 4)
Ba (0.0264, 0.7500, 0.4745) (multiplicity 4)
Ba (0.2500, 0.5209, 0.7031) (multiplicity 4)
Hg (0.2500, 0.2500, 0.8038) (multiplicity 2)
Pb (0.2500, 0.0206, 0.2949) (multiplicity 4)
N (0.2500, 0.7500, 0.7113) (multiplicity 2)

=====

(11)
Starting from a crystal structure in Alexandria, relaxed with GGA-PBE, the X-ray powder pattern of Zn3Ni2 was calculated for Cu Kα X-rays.

Top 10 peaks for 2θ = 10–90°, in order of falling intensity:
Position (°2θ), d/Å, I/Imax
43.55, 2.078, 100
43.79, 2.067, 54
80.30, 1.196, 29
63.65, 1.462, 16
79.79, 1.202, 11
62.92, 1.477, 6
48.33, 1.883, 5
39.30, 2.292, 3
86.40, 1.126, 3
83.76, 1.155, 2

Structure:
Lattice parameters (Å, degrees): 2.9237 2.9237 14.7723 90.00 90.00 90.00
Space group P4/mmm (No. 123)
Symmetry-distinct sites (fractional):
Zn (0.0000, 0.0000, 0.0000) (multiplicity 1)
Zn (0.0000, 0.0000, 0.1921) (multiplicity 2)
Zn (0.0000, 0.0000, 0.3846) (multiplicity 2)
Zn (0.5000, 0.5000, 0.5000) (multiplicity 1)
Ni (0.5000, 0.5000, 0.0958) (multiplicity 2)
Ni (0.5000, 0.5000, 0.2881) (multiplicity 2)

=====

(12)
Starting from a crystal structure in Alexandria, relaxed with GGA-PBE, the X-ray powder pattern of Ir4Br3 was calculated for Cu Kα X-rays.

Top 10 peaks for 2θ = 10–90°, in order of falling intensity:
Position (°2θ), d/Å, I/Imax
29.69, 3.009, 100
43.59, 2.076, 66
35.83, 2.506, 59
62.50, 1.486, 46
39.91, 2.259, 39
34.41, 2.606, 29
61.64, 1.505, 28
78.51, 1.218, 24
52.68, 1.737, 21
56.76, 1.622, 16

Structure:
Lattice parameters (Å, degrees): 6.0184 6.0184 4.5271 90.00 90.00 120.00
Space group P6/mmm (No. 191)
Symmetry-distinct sites (fractional):
Ir (0.0000, 0.0000, 0.2476) (multiplicity 2)
Ir (0.3333, 0.6667, 0.0000) (multiplicity 2)
Br (0.0000, 0.5000, 0.5000) (multiplicity 3)

=====

(13)
Starting from a crystal structure in Alexandria, relaxed with GGA-PBE, the X-ray powder pattern of La4Dy4Ho was calculated for Cu Kα X-rays.

Top 10 peaks for 2θ = 10–90°, in order of falling intensity:
Position (°2θ), d/Å, I/Imax
28.33, 3.151, 100
38.06, 2.364, 83
30.78, 2.905, 75
22.62, 3.931, 53
29.29, 3.049, 43
31.03, 2.882, 40
35.28, 2.544, 29
35.42, 2.534, 29
36.97, 2.432, 27
57.31, 1.608, 23

Structure:
Lattice parameters (Å, degrees): 6.5224 8.3046 24.3958 90.00 90.00 90.00
Space group Fmm2 (No. 42)
Symmetry-distinct sites (fractional):
La (0.0000, 0.0000, 0.0000) (multiplicity 4)
La (0.0000, 0.0000, 0.4630) (multiplicity 4)
La (0.2500, 0.2500, 0.2346) (multiplicity 8)
Dy (0.0000, 0.1736, 0.5907) (multiplicity 8)
Dy (0.2441, 0.0000, 0.8501) (multiplicity 8)
Ho (0.0000, 0.0000, 0.1413) (multiplicity 4)